Entry 1:
PmPr7Tm3: theoretical X-ray powder pattern (a wavelength of 1.5418 Å), based on a crystal structure in Alexandria, relaxed with PBE.

Main lines, in order of rising 2θ (2θ from 10° to 90°):
| 2θ/deg | I_rel | index |
| --- | --- | --- |
| 30.00 | 67 | 2 0 0 |
| 30.97 | 31 | 0 0 4 |
| 31.54 | 22 | 0 4 0 |
| 31.85 | 78 | 1 2 3 |
| 32.03 | 100 | 1 3 2 |
| 43.65 | 24 | 2 0 4 |
| 44.09 | 18 | 2 4 0 |
| 54.45 | 17 | 3 2 3 |
| 54.56 | 22 | 3 3 2 |
| 60.46 | 17 | 1 2 7 |

Unit cell a=5.9574 b=11.3464 c=11.5516 alpha=90.00 beta=90.00 gamma=90.00
Space group Immm (No. 71)
Unique sites:
Pm 0.0000 0.0000 0.0000 [2 per cell]
Pr 0.0000 0.1934 0.2906 [8 per cell]
Pr 0.0000 0.2928 0.0000 [4 per cell]
Pr 0.0000 0.5000 0.5000 [2 per cell]
Tm 0.0000 0.0000 0.5000 [2 per cell]
Tm 0.0000 0.5000 0.2032 [4 per cell]

---

Entry 2:
PmPr2Tm: theoretical X-ray powder pattern (a wavelength of 1.5418 Å), based on a crystal structure in Alexandria, relaxed with PBE.

Main lines, in order of rising 2θ (2θ from 10° to 90°):
| 2θ/deg | I_rel | index |
| --- | --- | --- |
| 30.05 | 100 | 1 0 2 |
| 34.76 | 34 | 1 1 0 |
| 35.00 | 17 | 0 0 4 |
| 49.97 | 12 | 2 0 0 |
| 50.15 | 24 | 1 1 4 |
| 59.42 | 29 | 2 1 2 |
| 59.74 | 14 | 1 0 6 |
| 62.46 | 12 | 2 0 4 |
| 81.27 | 6 | 3 0 2 |
| 81.55 | 12 | 2 1 6 |

Unit cell a=3.6501 b=3.6501 c=10.2549 alpha=90.00 beta=90.00 gamma=90.00
Space group P4/mmm (No. 123)
Unique sites:
Pm 0.0000 0.0000 0.0000 [1 per cell]
Pr 0.5000 0.5000 0.2553 [2 per cell]
Tm 0.0000 0.0000 0.5000 [1 per cell]

---

Entry 3:
Pm5PrTm5: theoretical X-ray powder pattern (a wavelength of 1.5418 Å), based on a crystal structure in Alexandria, relaxed with PBE.

Main lines, in order of rising 2θ (2θ from 10° to 90°):
| 2θ/deg | I_rel | index |
| --- | --- | --- |
| 28.24 | 100 | 1 0 3 |
| 29.41 | 84 | 1 1 0 |
| 30.38 | 30 | 1 1 1 |
| 33.14 | 29 | 1 1 2 |
| 34.74 | 37 | 1 0 4 |
| 34.94 | 38 | 2 0 1 |
| 37.38 | 55 | 2 0 2 |
| 46.14 | 25 | 2 0 4 |
| 51.45 | 39 | 2 1 3 |
| 61.02 | 29 | 2 2 0 |

Unit cell a=6.0740 b=6.0740 c=11.8577 alpha=90.00 beta=90.00 gamma=120.00
Space group P-6m2 (No. 187)
Unique sites:
Pm 0.0000 0.0000 0.0000 [1 per cell]
Pm 0.3333 0.6667 0.3192 [2 per cell]
Pm 0.6667 0.3333 0.1550 [2 per cell]
Pr 0.3333 0.6667 0.0000 [1 per cell]
Tm 0.0000 0.0000 0.2666 [2 per cell]
Tm 0.3324 0.1662 0.5000 [3 per cell]

---

Entry 4:
Pm4Pr15Tm: theoretical X-ray powder pattern (a wavelength of 1.5418 Å), based on a crystal structure in Alexandria, relaxed with PBE.

Main lines, in order of rising 2θ (2θ from 10° to 90°):
| 2θ/deg | I_rel | index |
| --- | --- | --- |
| 29.64 | 100 | 1 1 5 |
| 34.32 | 34 | 2 0 0 |
| 34.44 | 17 | 0 0 10 |
| 49.38 | 36 | 2 2 0 |
| 58.60 | 29 | 3 1 5 |
| 58.76 | 14 | 1 1 15 |
| 61.53 | 12 | 2 2 10 |
| 80.04 | 6 | 3 3 5 |
| 80.18 | 12 | 3 1 15 |
| 82.55 | 5 | 4 2 0 |

Unit cell a=5.2265 b=5.2265 c=26.0416 alpha=90.00 beta=90.00 gamma=90.00
Space group P4/mmm (No. 123)
Unique sites:
Pm 0.0000 0.0000 0.1005 [2 per cell]
Pm 0.0000 0.0000 0.3014 [2 per cell]
Pr 0.0000 0.5000 0.0000 [2 per cell]
Pr 0.0000 0.5000 0.2009 [4 per cell]
Pr 0.0000 0.5000 0.4017 [4 per cell]
Pr 0.5000 0.5000 0.1003 [2 per cell]
Pr 0.5000 0.5000 0.3015 [2 per cell]
Pr 0.5000 0.5000 0.5000 [1 per cell]
Tm 0.0000 0.0000 0.5000 [1 per cell]

---

Entry 5:
Pm7Pr3Tm2: theoretical X-ray powder pattern (a wavelength of 1.5418 Å), based on a crystal structure in Alexandria, relaxed with PBE.

Main lines, in order of rising 2θ (2θ from 10° to 90°):
| 2θ/deg | I_rel | index |
| --- | --- | --- |
| 27.92 | 30 | 0 0 6 |
| 30.09 | 56 | 2 0 0 |
| 30.19 | 38 | 2 0 -1 |
| 30.61 | 100 | 1 1 2 |
| 30.96 | 44 | 0 1 4 |
| 31.05 | 38 | 1 0 -6 |
| 31.77 | 22 | 1 1 -3 |
| 32.52 | 47 | 1 0 6 |
| 34.03 | 43 | 1 1 -4 |
| 53.13 | 32 | 3 1 1 |

Unit cell a=5.9509 b=3.6242 c=19.2042 alpha=90.00 beta=93.09 gamma=90.00
Space group P2/m (No. 10)
Unique sites:
Pm 0.0000 0.0000 0.0000 [1 per cell]
Pm 0.1910 0.5000 0.1811 [2 per cell]
Pm 0.2565 0.5000 0.5357 [2 per cell]
Pm 0.3108 0.0000 0.8540 [2 per cell]
Pr 0.2214 0.0000 0.3657 [2 per cell]
Pr 0.5000 0.5000 0.0000 [1 per cell]
Tm 0.2874 0.5000 0.7050 [2 per cell]

---

Entry 6:
PmPr10Tm4: theoretical X-ray powder pattern (a wavelength of 1.5418 Å), based on a crystal structure in Alexandria, relaxed with PBE.

Main lines, in order of rising 2θ (2θ from 10° to 90°):
| 2θ/deg | I_rel | index |
| --- | --- | --- |
| 21.32 | 19 | 1 2 1 |
| 26.23 | 25 | 1 0 3 |
| 27.95 | 81 | 1 3 0 |
| 29.99 | 16 | 2 2 2 |
| 31.75 | 100 | 1 2 3 |
| 32.57 | 32 | 1 3 2 |
| 33.06 | 15 | 0 0 4 |
| 39.94 | 29 | 4 2 0 |
| 40.80 | 23 | 3 2 3 |
| 58.80 | 20 | 3 1 6 |

Unit cell a=10.0951 b=10.0951 c=10.8220 alpha=90.00 beta=90.00 gamma=90.00
Space group I4/m (No. 87)
Unique sites:
Pm 0.0000 0.0000 0.0000 [2 per cell]
Pr 0.0000 0.5000 0.2500 [4 per cell]
Pr 0.1184 0.7728 0.1691 [16 per cell]
Tm 0.0548 0.7266 0.5000 [8 per cell]